Ac2Zn9Ni3: computed powder diffractogram (Cu Kα (weighted mean of Kα1 and Kα2)), based on the GGA-PBE geometry in Alexandria.
Peak positions follow from Bragg's law for the DFT cell and can differ from measured ones.

Cell and atoms:
```
data_Ac2Zn9Ni3
_chemical_formula_sum 'Ac8 Zn36 Ni12'
_cell_length_a 13.5893
_cell_length_b 7.5032
_cell_length_c 10.9255
_cell_angle_alpha 90.00
_cell_angle_beta 116.74
_cell_angle_gamma 90.00
_space_group_name_H-M_alt 'C 1 2/c 1'
_space_group_IT_number 15
_space_group_name_Hall '-C 2yc'
loop_
_atom_site_label
_atom_site_fract_x
_atom_site_fract_y
_atom_site_fract_z
Ac1 0.1694 0.0849 0.2408
Zn1 0.0000 0.3701 0.2500
Zn2 0.0628 0.0996 0.9214
Zn3 0.0889 0.4220 0.0217
Zn4 0.0964 0.3259 0.7403
Zn5 0.2187 0.4205 0.4388
Ni1 0.0878 0.2291 0.5033
Ni2 0.2500 0.2500 0.0000
```

Top 10 peaks for 2θ from 10° to 90°, sorted by position:
24.42°, rel. 32
25.01°, rel. 30
25.45°, rel. 45
35.42°, rel. 68
36.57°, rel. 72
36.67°, rel. 69
36.85°, rel. 68
39.83°, rel. 54
41.24°, rel. 100
56.60°, rel. 29

Ac2Zn2Ni3: computed powder diffractogram (Cu Kα (weighted mean of Kα1 and Kα2)), based on the GGA-PBE geometry in Alexandria.
Peak positions follow from Bragg's law for the DFT cell and can differ from measured ones.

Cell and atoms:
```
data_Ac2Zn2Ni3
_chemical_formula_sum 'Ac8 Zn8 Ni12'
_cell_length_a 4.2153
_cell_length_b 18.2960
_cell_length_c 7.3569
_cell_angle_alpha 90.00
_cell_angle_beta 90.00
_cell_angle_gamma 90.00
_space_group_name_H-M_alt 'C m c m'
_space_group_IT_number 63
_space_group_name_Hall '-C 2c 2'
loop_
_atom_site_label
_atom_site_fract_x
_atom_site_fract_y
_atom_site_fract_z
Ac1 0.0000 0.0622 0.2500
Ac2 0.0000 0.1525 0.7500
Zn1 0.0000 0.3082 0.5625
Ni1 0.0000 0.2242 0.2500
Ni2 0.0000 0.4441 0.0797
```

Top 10 peaks for 2θ from 10° to 90°, sorted by position:
22.89°, rel. 19
24.20°, rel. 23
31.77°, rel. 21
32.68°, rel. 78
34.68°, rel. 100
41.80°, rel. 34
42.91°, rel. 29
56.12°, rel. 19
61.45°, rel. 22
72.84°, rel. 18

Ac2Zn3Ni: computed powder diffractogram (Cu Kα (weighted mean of Kα1 and Kα2)), based on the GGA-PBE geometry in Alexandria.
Peak positions follow from Bragg's law for the DFT cell and can differ from measured ones.

Cell and atoms:
```
data_Ac2Zn3Ni
_chemical_formula_sum 'Ac2 Zn3 Ni1'
_cell_length_a 4.1229
_cell_length_b 4.4921
_cell_length_c 7.8776
_cell_angle_alpha 90.00
_cell_angle_beta 90.00
_cell_angle_gamma 90.00
_space_group_name_H-M_alt 'P m m 2'
_space_group_IT_number 25
_space_group_name_Hall 'P 2 -2'
loop_
_atom_site_label
_atom_site_fract_x
_atom_site_fract_y
_atom_site_fract_z
Ac1 0.0000 0.0000 0.0000
Ac2 0.0000 0.5000 0.4625
Zn1 0.5000 0.0000 0.6380
Zn2 0.5000 0.5000 0.1497
Zn3 0.5000 0.5000 0.8095
Ni1 0.5000 0.0000 0.3105
```

Top 10 peaks for 2θ from 10° to 90°, sorted by position:
22.57°, rel. 14
22.79°, rel. 29
31.41°, rel. 49
31.57°, rel. 100
39.76°, rel. 39
40.15°, rel. 20
43.92°, rel. 16
51.84°, rel. 24
60.73°, rel. 22
72.96°, rel. 14

Ac3ZnNi2: computed powder diffractogram (Cu Kα (weighted mean of Kα1 and Kα2)), based on the GGA-PBE geometry in Alexandria.
Peak positions follow from Bragg's law for the DFT cell and can differ from measured ones.

Cell and atoms:
```
data_Ac3ZnNi2
_chemical_formula_sum 'Ac12 Zn4 Ni8'
_cell_length_a 6.2718
_cell_length_b 11.9116
_cell_length_c 9.5803
_cell_angle_alpha 90.00
_cell_angle_beta 111.07
_cell_angle_gamma 90.00
_space_group_name_H-M_alt 'P 1 21/c 1'
_space_group_IT_number 14
_space_group_name_Hall '-P 2ybc'
loop_
_atom_site_label
_atom_site_fract_x
_atom_site_fract_y
_atom_site_fract_z
Ac1 0.1644 0.2306 0.3270
Ac2 0.2303 0.5909 0.9859
Ac3 0.3082 0.5504 0.6011
Zn1 0.4144 0.6967 0.3269
Ni1 0.1841 0.5088 0.2748
Ni2 0.3379 0.1339 0.6286
```

Top 10 peaks for 2θ from 10° to 90°, sorted by position:
24.91°, rel. 25
25.18°, rel. 39
27.14°, rel. 100
29.30°, rel. 22
29.88°, rel. 37
30.14°, rel. 37
30.34°, rel. 30
30.55°, rel. 38
36.53°, rel. 28
49.38°, rel. 27

AcZn5Ni2: computed powder diffractogram (Cu Kα (weighted mean of Kα1 and Kα2)), based on the GGA-PBE geometry in Alexandria.
Peak positions follow from Bragg's law for the DFT cell and can differ from measured ones.

Cell and atoms:
```
data_AcZn5Ni2
_chemical_formula_sum 'Ac2 Zn10 Ni4'
_cell_length_a 4.0182
_cell_length_b 7.3046
_cell_length_c 9.5029
_cell_angle_alpha 90.00
_cell_angle_beta 90.00
_cell_angle_gamma 90.00
_space_group_name_H-M_alt 'I m m m'
_space_group_IT_number 71
_space_group_name_Hall '-I 2 2'
loop_
_atom_site_label
_atom_site_fract_x
_atom_site_fract_y
_atom_site_fract_z
Ac1 0.0000 0.0000 0.0000
Zn1 0.0000 0.1803 0.3403
Zn2 0.0000 0.5000 0.0000
Ni1 0.0000 0.5000 0.2536
```

Top 10 peaks for 2θ from 10° to 90°, sorted by position:
24.37°, rel. 23
30.77°, rel. 30
30.88°, rel. 25
31.63°, rel. 43
34.50°, rel. 99
36.11°, rel. 100
45.13°, rel. 39
45.55°, rel. 44
47.68°, rel. 42
66.06°, rel. 28

Ac3Zn3Ni: computed powder diffractogram (Cu Kα (weighted mean of Kα1 and Kα2)), based on the GGA-PBE geometry in Alexandria.
Peak positions follow from Bragg's law for the DFT cell and can differ from measured ones.

Cell and atoms:
```
data_Ac3Zn3Ni
_chemical_formula_sum 'Ac6 Zn6 Ni2'
_cell_length_a 4.1011
_cell_length_b 4.6375
_cell_length_c 20.0786
_cell_angle_alpha 90.00
_cell_angle_beta 90.00
_cell_angle_gamma 90.00
_space_group_name_H-M_alt 'I m m 2'
_space_group_IT_number 44
_space_group_name_Hall 'I 2 -2'
loop_
_atom_site_label
_atom_site_fract_x
_atom_site_fract_y
_atom_site_fract_z
Ac1 0.0000 0.0000 0.0000
Ac2 0.0000 0.0000 0.3666
Ac3 0.0000 0.5000 0.1938
Zn1 0.0000 0.0000 0.5559
Zn2 0.0000 0.0000 0.8192
Zn3 0.0000 0.5000 0.6294
Ni1 0.0000 0.5000 0.7573
```

Top 10 peaks for 2θ from 10° to 90°, sorted by position:
23.34°, rel. 55
26.64°, rel. 23
30.43°, rel. 100
31.17°, rel. 65
34.22°, rel. 31
36.84°, rel. 24
38.84°, rel. 30
44.17°, rel. 21
45.11°, rel. 23
50.59°, rel. 49

Ac2Zn6Ni3: computed powder diffractogram (Cu Kα (weighted mean of Kα1 and Kα2)), based on the GGA-PBE geometry in Alexandria.
Peak positions follow from Bragg's law for the DFT cell and can differ from measured ones.

Cell and atoms:
```
data_Ac2Zn6Ni3
_chemical_formula_sum 'Ac2 Zn6 Ni3'
_cell_length_a 7.7070
_cell_length_b 7.7070
_cell_length_c 4.0481
_cell_angle_alpha 90.00
_cell_angle_beta 90.00
_cell_angle_gamma 120.00
_space_group_name_H-M_alt 'P -6 2 m'
_space_group_IT_number 189
_space_group_name_Hall 'P -6 -2'
loop_
_atom_site_label
_atom_site_fract_x
_atom_site_fract_y
_atom_site_fract_z
Ac1 0.3333 0.6667 0.0000
Zn1 0.0000 0.1932 0.0000
Zn2 0.0000 0.7189 0.5000
Ni1 0.0000 0.3822 0.5000
```

Top 10 peaks for 2θ from 10° to 90°, sorted by position:
23.08°, rel. 19
32.07°, rel. 100
34.84°, rel. 15
35.59°, rel. 24
40.55°, rel. 31
42.21°, rel. 42
44.78°, rel. 19
52.61°, rel. 16
61.98°, rel. 18
68.46°, rel. 22

Ac3NpO6: computed powder diffractogram (Cu Kα (weighted mean of Kα1 and Kα2)), based on the GGA-PBE geometry in Alexandria.
Peak positions follow from Bragg's law for the DFT cell and can differ from measured ones.

Cell and atoms:
```
data_Ac3NpO6
_chemical_formula_sum 'Ac18 Np6 O36'
_cell_length_a 10.5657
_cell_length_b 10.5657
_cell_length_c 12.2657
_cell_angle_alpha 90.00
_cell_angle_beta 90.00
_cell_angle_gamma 120.00
_space_group_name_H-M_alt 'R -3'
_space_group_IT_number 148
_space_group_name_Hall '-R 3'
loop_
_atom_site_label
_atom_site_fract_x
_atom_site_fract_y
_atom_site_fract_z
Ac1 0.0375 0.2640 0.2103
Np1 0.0000 0.0000 0.0000
Np2 0.0000 0.0000 0.5000
O1 0.0268 0.1830 0.8803
O2 0.0330 0.2148 0.4095
```

Top 10 peaks for 2θ from 10° to 90°, sorted by position:
21.74°, rel. 32
24.27°, rel. 40
26.78°, rel. 100
27.59°, rel. 46
29.28°, rel. 22
29.66°, rel. 94
30.75°, rel. 21
39.27°, rel. 31
45.41°, rel. 43
47.70°, rel. 26

AcNp2O11: computed powder diffractogram (Cu Kα (weighted mean of Kα1 and Kα2)), based on the GGA-PBE geometry in Alexandria.
Peak positions follow from Bragg's law for the DFT cell and can differ from measured ones.

Cell and atoms:
```
data_AcNp2O11
_chemical_formula_sum 'Ac4 Np8 O44'
_cell_length_a 11.0248
_cell_length_b 13.7341
_cell_length_c 6.7995
_cell_angle_alpha 90.00
_cell_angle_beta 92.39
_cell_angle_gamma 90.00
_space_group_name_H-M_alt 'C 1 2 1'
_space_group_IT_number 5
_space_group_name_Hall 'C 2y'
loop_
_atom_site_label
_atom_site_fract_x
_atom_site_fract_y
_atom_site_fract_z
Ac1 0.0000 0.0000 0.0000
Ac2 0.0000 0.3610 0.5000
Np1 0.2425 0.2543 0.9577
Np2 0.2431 0.1073 0.4593
O1 0.1204 0.2026 0.4366
O2 0.1226 0.1563 0.9342
O3 0.1278 0.5181 0.5368
O4 0.1292 0.8440 0.0465
O5 0.1413 0.3352 0.7924
O6 0.1494 0.0261 0.2854
O7 0.1682 0.9863 0.7137
O8 0.1805 0.3775 0.2197
O9 0.1798 0.6840 0.8286
O10 0.1814 0.6813 0.3301
O11 0.2143 0.8964 0.6719
```

Top 10 peaks for 2θ from 10° to 90°, sorted by position:
10.29°, rel. 38
16.09°, rel. 43
16.37°, rel. 49
20.67°, rel. 81
24.15°, rel. 100
24.88°, rel. 84
26.24°, rel. 48
29.14°, rel. 76
43.78°, rel. 38
44.65°, rel. 46

AcNpPb2O6: computed powder diffractogram (Cu Kα (weighted mean of Kα1 and Kα2)), based on the GGA-PBE geometry in Alexandria.
Peak positions follow from Bragg's law for the DFT cell and can differ from measured ones.

Cell and atoms:
```
data_AcNpPb2O6
_chemical_formula_sum 'Ac1 Np1 Pb2 O6'
_cell_length_a 6.3692
_cell_length_b 6.3692
_cell_length_c 4.6473
_cell_angle_alpha 90.00
_cell_angle_beta 90.00
_cell_angle_gamma 90.00
_space_group_name_H-M_alt 'P 4 m m'
_space_group_IT_number 99
_space_group_name_Hall 'P 4 -2'
loop_
_atom_site_label
_atom_site_fract_x
_atom_site_fract_y
_atom_site_fract_z
Ac1 0.0000 0.0000 0.0000
Np1 0.5000 0.5000 0.0811
Pb1 0.0000 0.5000 0.4181
O1 0.0000 0.0000 0.5109
O2 0.2698 0.2698 0.1286
O3 0.5000 0.5000 0.5890
```

Top 10 peaks for 2θ from 10° to 90°, sorted by position:
19.10°, rel. 14
27.58°, rel. 100
28.02°, rel. 58
40.04°, rel. 30
43.84°, rel. 18
48.50°, rel. 14
49.31°, rel. 43
60.87°, rel. 13
65.54°, rel. 12
79.45°, rel. 11

AcNpSbO2: computed powder diffractogram (Cu Kα (weighted mean of Kα1 and Kα2)), based on the GGA-PBE geometry in Alexandria.
Peak positions follow from Bragg's law for the DFT cell and can differ from measured ones.

Cell and atoms:
```
data_AcNpSbO2
_chemical_formula_sum 'Ac2 Np2 Sb2 O4'
_cell_length_a 4.0333
_cell_length_b 4.0333
_cell_length_c 13.3889
_cell_angle_alpha 90.00
_cell_angle_beta 90.00
_cell_angle_gamma 90.00
_space_group_name_H-M_alt 'I 4 m m'
_space_group_IT_number 107
_space_group_name_Hall 'I 4 -2'
loop_
_atom_site_label
_atom_site_fract_x
_atom_site_fract_y
_atom_site_fract_z
Ac1 0.0000 0.0000 0.0000
Np1 0.0000 0.0000 0.3087
Sb1 0.0000 0.0000 0.6611
O1 0.0000 0.5000 0.3890
```

Top 10 peaks for 2θ from 10° to 90°, sorted by position:
23.03°, rel. 11
29.86°, rel. 100
31.37°, rel. 41
40.42°, rel. 9
44.95°, rel. 19
52.04°, rel. 21
54.90°, rel. 38
62.03°, rel. 11
73.57°, rel. 9
88.25°, rel. 10

Ac2TbNpO8: computed powder diffractogram (Cu Kα (weighted mean of Kα1 and Kα2)), based on the GGA-PBE geometry in Alexandria.
Peak positions follow from Bragg's law for the DFT cell and can differ from measured ones.

Cell and atoms:
```
data_Ac2TbNpO8
_chemical_formula_sum 'Ac2 Tb1 Np1 O8'
_cell_length_a 4.0964
_cell_length_b 7.7403
_cell_length_c 5.7719
_cell_angle_alpha 90.00
_cell_angle_beta 95.36
_cell_angle_gamma 90.00
_space_group_name_H-M_alt 'P 1 2/m 1'
_space_group_IT_number 10
_space_group_name_Hall '-P 2y'
loop_
_atom_site_label
_atom_site_fract_x
_atom_site_fract_y
_atom_site_fract_z
Ac1 0.0000 0.2469 0.0000
Tb1 0.5000 0.0000 0.5000
Np1 0.5000 0.5000 0.5000
O1 0.0251 0.0000 0.2589
O2 0.0756 0.5000 0.2958
O3 0.4560 0.2835 0.7192
```

Top 10 peaks for 2θ from 10° to 90°, sorted by position:
25.58°, rel. 62
27.79°, rel. 100
27.98°, rel. 49
31.13°, rel. 27
31.88°, rel. 51
43.60°, rel. 40
44.43°, rel. 18
46.66°, rel. 31
51.85°, rel. 18
53.37°, rel. 17